This entry pairs a crystal structure of K2TlBr2 with its simulated X-ray powder pattern. Radiation: λ = 1.5418 Å (Cu Kα). Structure: the PBE geometry in Alexandria.
Kinematic intensities with the Lorentz-polarization factor, no thermal factor.

Top 12 peaks for 2θ from 10° to 90°, by angle:
hkl  Position (°2θ)  intensity
1 1 0  13.6  220
0 0 1  21.4  255
1 1 1  25.5  249
2 2 0  27.4  179
2 0 1  29.0  185
3 1 0  30.7  1000
2 2 1  35.1  164
3 1 1  37.8  372
4 2 0  44.0  137
4 2 1  49.4  142
3 1 2  54.3  238
5 2 1  58.4  122

Atomic structure:
Lattice parameters (Å, degrees): 9.209 9.209 4.143 90.00 90.00 90.00
Space group P4/mbm (No. 127)
Symmetry-distinct sites (fractional):
1 K 0.151 0.349 0.000
2 Tl 0.000 0.000 0.500
3 Br 0.151 0.651 0.500

=====

This entry pairs a crystal structure of LaUTi2O8 with its simulated X-ray powder pattern. Radiation: λ = 1.5418 Å (Cu Kα). Structure: the PBE geometry in Alexandria.
Kinematic intensities with the Lorentz-polarization factor, no thermal factor.

Top 12 peaks for 2θ from 10° to 90°, by angle:
hkl  Position (°2θ)  intensity
1 0 1  18.7  496
1 1 2  28.9  1000
1 0 3  29.1  136
0 0 4  31.5  149
2 0 0  34.4  194
2 1 1  39.4  190
1 2 3  45.7  144
2 0 4  47.3  304
2 2 0  49.4  143
1 1 6  54.5  172
1 3 2  58.3  281
3 1 6  76.6  123

Atomic structure:
Lattice parameters (Å, degrees): 5.214 5.214 11.364 90.00 90.00 90.00
Space group I-4 (No. 82)
Symmetry-distinct sites (fractional):
1 La 0.000 0.000 0.000
2 U 0.000 0.500 0.750
3 Ti 0.000 0.000 0.500
4 Ti 0.000 0.500 0.250
5 O 0.153 0.256 0.589
6 O 0.180 0.761 0.175

=====

This entry pairs a crystal structure of CrGaCo2 with its simulated X-ray powder pattern. Radiation: λ = 1.5418 Å (Cu Kα). Structure: the PBE geometry in Alexandria.
Kinematic intensities with the Lorentz-polarization factor, no thermal factor.

Top 10 peaks for 2θ from 10° to 90°, by angle:
hkl  Position (°2θ)  intensity
1 0 0  21.8  18
1 0 1  38.7  10
2 0 0  44.5  514
1 1 1  44.9  1000
2 1 0  50.1  5
2 1 1  60.4  7
2 2 0  64.8  154
0 0 2  66.0  72
3 1 1  82.3  298
2 0 2  83.1  145

Atomic structure:
Lattice parameters (Å, degrees): 4.071 4.071 2.832 90.00 90.00 90.00
Space group P4/mmm (No. 123)
Symmetry-distinct sites (fractional):
1 Cr 0.000 0.000 0.000
2 Ga 0.500 0.500 0.000
3 Co 0.000 0.500 0.500

=====

This entry pairs a crystal structure of Er2CuTe with its simulated X-ray powder pattern. Radiation: λ = 1.5418 Å (Cu Kα). Structure: the PBE geometry in Alexandria.
Kinematic intensities with the Lorentz-polarization factor, no thermal factor.

Top 12 peaks for 2θ from 10° to 90°, by angle:
hkl  Position (°2θ)  intensity
1 1 1  30.5  1000
0 6 1  31.2  188
0 8 0  31.5  225
1 3 1  32.6  152
1 7 0  35.6  356
0 8 1  37.8  157
0 0 2  41.3  816
2 0 0  45.4  210
0 8 2  52.8  136
1 7 2  55.6  198
0 14 1  60.9  128
2 0 2  63.0  156

Atomic structure:
Lattice parameters (Å, degrees): 3.999 22.726 4.376 90.00 90.00 90.00
Space group Cmcm (No. 63)
Symmetry-distinct sites (fractional):
1 Er 0.000 0.058 0.250
2 Er 0.000 0.339 0.250
3 Cu 0.000 0.466 0.250
4 Te 0.000 0.196 0.250

=====

This entry pairs a crystal structure of Li2LaRu with its simulated X-ray powder pattern. Radiation: λ = 1.5418 Å (Cu Kα). Structure: the PBE geometry in Alexandria.
Kinematic intensities with the Lorentz-polarization factor, no thermal factor.

Top 12 peaks for 2θ from 10° to 90°, by angle:
hkl  Position (°2θ)  intensity
0 0 2  18.6  1000
1 1 0  32.0  521
1 1 2  37.2  815
0 0 4  37.7  197
2 0 0  45.8  225
2 0 2  49.9  295
1 1 4  50.2  289
2 0 4  60.8  192
1 1 6  67.8  138
2 2 2  70.0  105
3 1 2  79.1  177
3 1 4  88.1  118

Atomic structure:
Lattice parameters (Å, degrees): 3.960 3.960 9.542 90.00 90.00 90.00
Space group I4/mmm (No. 139)
Symmetry-distinct sites (fractional):
1 Li 0.000 0.500 0.250
2 La 0.000 0.000 0.000
3 Ru 0.000 0.000 0.500

=====

This entry pairs a crystal structure of Rb6Au2Br with its simulated X-ray powder pattern. Radiation: λ = 1.5418 Å (Cu Kα). Structure: the PBE geometry in Alexandria.
Kinematic intensities with the Lorentz-polarization factor, no thermal factor.

Top 12 peaks for 2θ from 10° to 90°, by angle:
hkl  Position (°2θ)  intensity
0 0 3  10.5  320
1 0 1  12.4  521
0 1 5  21.3  233
2 -1 3  23.2  890
2 -1 6  29.7  1000
3 0 0  36.1  480
1 2 5  36.5  160
1 1 9  38.3  236
2 2 3  43.4  161
2 2 6  47.4  273
3 0 12  57.4  205
5 -1 6  61.0  228

Atomic structure:
Lattice parameters (Å, degrees): 8.6137 8.6137 25.2402 90.00 90.00 120.00
Space group R-3 (No. 148, hexagonal axes)
Symmetry-distinct sites (fractional):
1 Rb 0.0055 0.6876 0.0862
2 Au 0.0000 0.0000 0.1769
3 Br 0.0000 0.0000 0.0000

=====

This entry pairs a crystal structure of CrCd2Cu with its simulated X-ray powder pattern. Radiation: λ = 1.5418 Å (Cu Kα). Structure: the PBE geometry in Alexandria.
Kinematic intensities with the Lorentz-polarization factor, no thermal factor.

Top 12 peaks for 2θ from 10° to 90°, by angle:
hkl  Position (°2θ)  intensity
0 0 2  23.2  80
1 1 0  29.5  88
1 1 2  37.9  1000
2 0 0  42.3  363
0 0 4  47.4  128
2 0 2  48.8  45
1 1 4  56.9  28
2 2 0  61.3  113
2 0 4  65.4  183
3 1 2  74.4  247
2 2 4  81.0  98
1 1 6  81.8  95

Atomic structure:
Lattice parameters (Å, degrees): 4.277 4.277 7.666 90.00 90.00 90.00
Space group I4/mmm (No. 139)
Symmetry-distinct sites (fractional):
1 Cr 0.000 0.000 0.000
2 Cd 0.000 0.500 0.250
3 Cu 0.000 0.000 0.500

=====

This entry pairs a crystal structure of NiAgAu2 with its simulated X-ray powder pattern. Radiation: λ = 1.5418 Å (Cu Kα). Structure: the PBE geometry in Alexandria.
Kinematic intensities with the Lorentz-polarization factor, no thermal factor.

Top 12 peaks for 2θ from 10° to 90°, by angle:
hkl  Position (°2θ)  intensity
1 0 1  24.7  232
1 1 2  38.8  1000
1 0 3  40.4  69
2 0 0  45.1  488
2 1 1  52.1  69
2 1 3  62.1  63
2 2 0  65.6  315
3 0 1  71.3  15
3 1 2  78.9  377
3 0 3  80.0  33
2 2 4  83.2  111
3 2 1  88.4  18

Atomic structure:
Lattice parameters (Å, degrees): 4.025 4.025 8.041 90.00 90.00 90.00
Space group I-4m2 (No. 119)
Symmetry-distinct sites (fractional):
1 Ni 0.000 0.000 0.000
2 Ag 0.000 0.500 0.750
3 Au 0.000 0.000 0.500
4 Au 0.000 0.500 0.250